Starting from DFT lattice parameters and positions (GGA-PBE), the X-ray powder pattern of InTePd4 was simulated for Cu Kα (weighted mean of Kα1 and Kα2).
Kinematic intensities with the Lorentz-polarization factor, no thermal factor.

The 10 most intense peaks (2θ from 10° to 90°), in order of falling intensity:
Position (°2θ), intensity
37.9, 1000
43.1, 222
38.9, 192
40.8, 148
75.6, 142
59.5, 118
49.6, 104
67.8, 80
64.8, 67
82.1, 60

Structural model:
Cell lengths 7.2578, 7.2578, 7.3461 Å; angles 90.00, 90.00, 146.40 degrees
Sites, in units of the cell vectors:
1 In 0.0211 0.9789 0.7500
2 In 0.9789 0.0211 0.2500
3 Te 0.2933 0.7067 0.7500
4 Te 0.7067 0.2933 0.2500
5 Pd 0.1510 0.8490 0.0408
6 Pd 0.1510 0.8490 0.4592
7 Pd 0.3381 0.6619 0.2500
8 Pd 0.5000 0.5000 0.0000
9 Pd 0.5000 0.5000 0.5000
10 Pd 0.6619 0.3381 0.7500
11 Pd 0.8490 0.1510 0.5408
12 Pd 0.8490 0.1510 0.9592

=====

Starting from DFT lattice parameters and positions (GGA-PBE), the X-ray powder pattern of Ho4SiSe2S was simulated for Cu Kα (weighted mean of Kα1 and Kα2).
Kinematic intensities with the Lorentz-polarization factor, no thermal factor.

The 10 most intense peaks (2θ from 10° to 90°), in order of falling intensity:
Position (°2θ), intensity
31.3, 1000
45.2, 245
44.5, 238
27.1, 231
55.9, 128
45.1, 124
44.7, 118
27.2, 114
65.3, 113
26.7, 111

Structural model:
Cell lengths 6.9438, 4.0245, 7.0723 Å; angles 90.00, 109.34, 90.00 degrees
Sites, in units of the cell vectors:
1 Ho 0.2420 0.0000 0.2332
2 Ho 0.2535 0.5000 0.7698
3 Ho 0.7465 0.5000 0.2302
4 Ho 0.7580 0.0000 0.7668
5 Si 0.0000 0.5000 0.0000
6 Se 0.0000 0.0000 0.5000
7 Se 0.5000 0.5000 0.5000
8 S 0.5000 0.0000 0.0000

=====

Starting from DFT lattice parameters and positions (GGA-PBE), the X-ray powder pattern of Sm3Te3Pb was simulated for Cu Kα (weighted mean of Kα1 and Kα2).
Kinematic intensities with the Lorentz-polarization factor, no thermal factor.

The 10 most intense peaks (2θ from 10° to 90°), in order of falling intensity:
Position (°2θ), intensity
28.4, 1000
40.6, 768
66.5, 357
50.2, 276
73.8, 264
14.1, 250
31.8, 150
58.7, 130
87.8, 87
43.1, 83

Structural model:
Cell lengths 6.2914, 6.2914, 6.2914 Å; angles 90.00, 90.00, 90.00 degrees
Sites, in units of the cell vectors:
1 Sm 0.0000 0.0000 0.5000
2 Sm 0.0000 0.5000 0.0000
3 Sm 0.5000 0.0000 0.0000
4 Te 0.0000 0.5000 0.5000
5 Te 0.5000 0.0000 0.5000
6 Te 0.5000 0.5000 0.0000
7 Pb 0.0000 0.0000 0.0000